The following is a computed X-ray diffraction stick pattern of CaMnCr2Mo. It was derived from a DFT-relaxed cell (PBE, Alexandria), using Cu Kα X-rays.
Kinematic intensities with the Lorentz-polarization factor, no thermal factor.

Top 10 peaks for 15° ≤ 2θ ≤ 90°, low angle first:
index  two_theta  d [Å]  intensity
1 0 0  19.58  4.534  70
1 1 0  27.83  3.206  18
1 1 1  34.20  2.622  100
0 0 2  39.55  2.279  41
2 0 0  39.76  2.267  81
2 1 0  44.69  2.028  16
2 0 2  57.33  1.607  51
2 2 0  57.50  1.603  25
3 1 1  68.63  1.368  23
2 2 2  72.03  1.311  24

```
data_CaMnCr2Mo
_symmetry_space_group_name_H-M 'P 4/m m m'
_symmetry_Int_Tables_number 123
_symmetry_space_group_name_Hall '-P 4 2'
_cell_length_a 4.534
_cell_length_b 4.534
_cell_length_c 4.557
_cell_angle_alpha 90.00
_cell_angle_beta 90.00
_cell_angle_gamma 90.00
loop_
_atom_site_label
_atom_site_fract_x
_atom_site_fract_y
_atom_site_fract_z
Ca1 0.000 0.000 0.000
Mn1 0.500 0.500 0.500
Cr1 0.000 0.500 0.500
Mo1 0.500 0.500 0.000
```